# 1
For KHgAsO, a crystal structure in OQMD, relaxed with GGA-PBE gives the theoretical X-ray diffraction stick pattern in this record (Cu Kα (λ = 1.5418 Å)).
Neutral-atom scattering factors, no anomalous dispersion.

The 6 most intense peaks (2θ from 10° to 90°), sorted by position:
| d (Å) | Rel. int. |
| --- | --- |
| 4.494 | 100 |
| 3.029 | 88 |
| 2.861 | 49 |
| 2.717 | 36 |
| 2.066 | 38 |
| 1.970 | 44 |

Cell and atoms:
Cell lengths 4.100, 7.988, 5.435 Å; angles 90.00, 90.00, 90.00 degrees
Positions (direct):
1 K 0.000 0.136 0.000
2 K 0.000 0.864 0.500
3 Hg 0.500 0.230 0.500
4 Hg 0.500 0.770 0.000
5 As 0.000 0.447 0.509
6 As 0.000 0.553 0.009
7 O 0.500 0.001 0.252
8 O 0.500 0.999 0.752

# 2
For KHgAsO, a crystal structure in OQMD, relaxed with GGA-PBE gives the theoretical X-ray diffraction stick pattern in this record (Cu Kα (λ = 1.5418 Å)).
Neutral-atom scattering factors, no anomalous dispersion.

The 6 most intense peaks (2θ from 10° to 90°), sorted by position:
| d (Å) | Rel. int. |
| --- | --- |
| 4.754 | 100 |
| 3.177 | 48 |
| 2.787 | 64 |
| 2.744 | 77 |
| 2.724 | 64 |
| 1.853 | 50 |

Cell and atoms:
Cell lengths 3.361, 9.729, 5.448 Å; angles 90.00, 90.00, 90.00 degrees
Positions (direct):
1 K 0.000 0.122 0.000
2 K 0.000 0.878 0.500
3 Hg 0.500 0.292 0.499
4 Hg 0.500 0.708 0.999
5 As 0.500 0.444 0.996
6 As 0.500 0.556 0.496
7 O 0.000 0.140 0.500
8 O 0.000 0.860 0.000

# 3
For KRbZnHgAs2, a crystal structure in OQMD, relaxed with GGA-PBE gives the theoretical X-ray diffraction stick pattern in this record (Cu Kα (λ = 1.5418 Å)).
Neutral-atom scattering factors, no anomalous dispersion.

The 6 most intense peaks (2θ from 10° to 90°), sorted by position:
| d (Å) | Rel. int. |
| --- | --- |
| 5.296 | 40 |
| 3.126 | 100 |
| 2.648 | 24 |
| 2.236 | 47 |
| 2.060 | 22 |
| 1.708 | 39 |

Cell and atoms:
Cell lengths 4.472, 4.472, 10.592 Å; angles 90.00, 90.00, 120.00 degrees
Positions (direct):
1 K 0.000 0.000 0.000
2 Rb 0.000 0.000 0.496
3 Zn 0.667 0.333 0.237
4 Hg 0.333 0.667 0.759
5 As 0.333 0.667 0.240
6 As 0.667 0.333 0.755

# 4
For NaHgAsO, a crystal structure in OQMD, relaxed with GGA-PBE gives the theoretical X-ray diffraction stick pattern in this record (Cu Kα (λ = 1.5418 Å)).
Neutral-atom scattering factors, no anomalous dispersion.

The 6 most intense peaks (2θ from 10° to 90°), sorted by position:
| d (Å) | Rel. int. |
| --- | --- |
| 4.461 | 100 |
| 3.386 | 56 |
| 2.697 | 64 |
| 2.618 | 64 |
| 2.555 | 49 |
| 2.071 | 57 |

Cell and atoms:
Cell lengths 3.386, 9.144, 5.110 Å; angles 90.00, 90.00, 90.00 degrees
Positions (direct):
1 Na 0.000 0.116 0.000
2 Na 0.000 0.884 0.500
3 Hg 0.500 0.282 0.499
4 Hg 0.500 0.718 0.999
5 As 0.500 0.433 0.000
6 As 0.500 0.567 0.500
7 O 0.000 0.125 0.495
8 O 0.000 0.875 0.995

# 5
For Hg4As2O7, a crystal structure in OQMD, relaxed with GGA-PBE gives the theoretical X-ray diffraction stick pattern in this record (Cu Kα (λ = 1.5418 Å)).
Neutral-atom scattering factors, no anomalous dispersion.

The 6 most intense peaks (2θ from 10° to 90°), sorted by position:
| d (Å) | Rel. int. |
| --- | --- |
| 3.904 | 60 |
| 3.140 | 85 |
| 3.048 | 98 |
| 2.952 | 74 |
| 2.738 | 100 |
| 2.636 | 93 |

Cell and atoms:
Cell lengths 10.065, 12.372, 7.290 Å; angles 90.00, 90.00, 90.00 degrees
Positions (direct):
1 Hg 0.010 0.098 0.057
2 Hg 0.010 0.402 0.057
3 Hg 0.108 0.048 0.549
4 Hg 0.108 0.452 0.549
5 Hg 0.392 0.548 0.049
6 Hg 0.392 0.952 0.049
7 Hg 0.490 0.598 0.557
8 Hg 0.490 0.902 0.557
9 Hg 0.510 0.098 0.443
10 Hg 0.510 0.402 0.443
11 Hg 0.608 0.048 0.951
12 Hg 0.608 0.452 0.951
13 Hg 0.892 0.548 0.451
14 Hg 0.892 0.952 0.451
15 Hg 0.990 0.598 0.943
16 Hg 0.990 0.902 0.943
17 As 0.195 0.750 0.685
18 As 0.244 0.250 0.771
19 As 0.256 0.750 0.271
20 As 0.305 0.250 0.185
21 As 0.695 0.750 0.815
22 As 0.744 0.250 0.729
23 As 0.756 0.750 0.229
24 As 0.805 0.250 0.315
25 O 0.039 0.750 0.787
26 O 0.087 0.250 0.856
27 O 0.136 0.750 0.449
28 O 0.220 0.634 0.150
29 O 0.220 0.866 0.150
30 O 0.229 0.129 0.219
31 O 0.229 0.371 0.219
32 O 0.271 0.629 0.719
33 O 0.271 0.871 0.719
34 O 0.280 0.134 0.650
35 O 0.280 0.366 0.650
36 O 0.364 0.250 0.949
37 O 0.413 0.750 0.356
38 O 0.461 0.250 0.287
39 O 0.539 0.750 0.713
40 O 0.587 0.250 0.644
41 O 0.636 0.750 0.051
42 O 0.720 0.634 0.350
43 O 0.720 0.866 0.350
44 O 0.729 0.129 0.281
45 O 0.729 0.371 0.281
46 O 0.771 0.629 0.781
47 O 0.771 0.871 0.781
48 O 0.780 0.134 0.850
49 O 0.780 0.366 0.850
50 O 0.864 0.250 0.551
51 O 0.913 0.750 0.144
52 O 0.961 0.250 0.213

# 6
For Hg9As4O16, a crystal structure in OQMD, relaxed with GGA-PBE gives the theoretical X-ray diffraction stick pattern in this record (Cu Kα (λ = 1.5418 Å)).
Neutral-atom scattering factors, no anomalous dispersion.

The 6 most intense peaks (2θ from 10° to 90°), sorted by position:
| d (Å) | Rel. int. |
| --- | --- |
| 4.891 | 64 |
| 3.236 | 42 |
| 3.156 | 70 |
| 3.017 | 100 |
| 2.691 | 43 |
| 2.559 | 49 |

Cell and atoms:
Cell lengths 10.310, 10.310, 10.310 Å; angles 108.17, 108.17, 108.17 degrees
Positions (direct):
1 Hg 0.008 0.614 0.771
2 Hg 0.059 0.105 0.836
3 Hg 0.105 0.836 0.059
4 Hg 0.114 0.508 0.271
5 Hg 0.271 0.114 0.508
6 Hg 0.292 0.858 0.920
7 Hg 0.336 0.605 0.559
8 Hg 0.358 0.792 0.420
9 Hg 0.420 0.358 0.792
10 Hg 0.508 0.271 0.114
11 Hg 0.559 0.336 0.605
12 Hg 0.605 0.559 0.336
13 Hg 0.614 0.771 0.008
14 Hg 0.771 0.008 0.614
15 Hg 0.792 0.420 0.358
16 Hg 0.836 0.059 0.105
17 Hg 0.858 0.920 0.292
18 Hg 0.920 0.292 0.858
19 As 0.039 0.310 0.539
20 As 0.039 0.810 0.539
21 As 0.215 0.215 0.215
22 As 0.310 0.539 0.039
23 As 0.539 0.039 0.310
24 As 0.539 0.039 0.810
25 As 0.715 0.715 0.715
26 As 0.810 0.539 0.039
27 O 0.024 0.634 0.529
28 O 0.029 0.134 0.524
29 O 0.062 0.252 0.137
30 O 0.127 0.932 0.731
31 O 0.134 0.524 0.029
32 O 0.137 0.062 0.252
33 O 0.150 0.868 0.453
34 O 0.231 0.432 0.627
35 O 0.252 0.137 0.062
36 O 0.297 0.360 0.942
37 O 0.360 0.942 0.297
38 O 0.368 0.650 0.953
39 O 0.369 0.369 0.369
40 O 0.432 0.627 0.231
41 O 0.442 0.860 0.797
42 O 0.453 0.150 0.868
43 O 0.524 0.029 0.134
44 O 0.529 0.024 0.634
45 O 0.562 0.637 0.752
46 O 0.627 0.231 0.432
47 O 0.634 0.529 0.024
48 O 0.637 0.752 0.562
49 O 0.650 0.953 0.368
50 O 0.731 0.127 0.932
51 O 0.752 0.562 0.637
52 O 0.797 0.442 0.860
53 O 0.860 0.797 0.442
54 O 0.868 0.453 0.150
55 O 0.869 0.869 0.869
56 O 0.932 0.731 0.127
57 O 0.942 0.297 0.360
58 O 0.953 0.368 0.650

# 7
For Hg3AsO4, a crystal structure in OQMD, relaxed with GGA-PBE gives the theoretical X-ray diffraction stick pattern in this record (Cu Kα (λ = 1.5418 Å)).
Neutral-atom scattering factors, no anomalous dispersion.

The 6 most intense peaks (2θ from 10° to 90°), sorted by position:
| d (Å) | Rel. int. |
| --- | --- |
| 6.115 | 24 |
| 3.064 | 100 |
| 2.892 | 56 |
| 2.852 | 65 |
| 2.517 | 36 |
| 2.307 | 23 |

Cell and atoms:
Cell lengths 8.784, 5.139, 14.496 Å; angles 90.00, 122.46, 90.00 degrees
Positions (direct):
1 Hg 0.044 0.149 0.083
2 Hg 0.044 0.351 0.583
3 Hg 0.277 0.160 0.462
4 Hg 0.277 0.340 0.962
5 Hg 0.438 0.668 0.123
6 Hg 0.438 0.832 0.623
7 Hg 0.562 0.168 0.377
8 Hg 0.562 0.332 0.877
9 Hg 0.723 0.660 0.038
10 Hg 0.723 0.840 0.538
11 Hg 0.956 0.649 0.417
12 Hg 0.956 0.851 0.917
13 As 0.237 0.646 0.277
14 As 0.237 0.854 0.777
15 As 0.763 0.146 0.223
16 As 0.763 0.354 0.723
17 O 0.055 0.535 0.154
18 O 0.055 0.965 0.654
19 O 0.227 0.551 0.387
20 O 0.227 0.949 0.887
21 O 0.236 0.519 0.772
22 O 0.236 0.981 0.272
23 O 0.435 0.537 0.289
24 O 0.435 0.963 0.789
25 O 0.565 0.037 0.211
26 O 0.565 0.463 0.711
27 O 0.764 0.019 0.728
28 O 0.764 0.481 0.228
29 O 0.773 0.051 0.113
30 O 0.773 0.449 0.613
31 O 0.945 0.035 0.346
32 O 0.945 0.465 0.846